Diffraction record for Nd2Si2HRu2. The powder diffraction line list is theoretical, not measured: it uses the GGA-PBE geometry in Alexandria and copper Kα.
No peak broadening, texture or thermal motion is included.

Principal peaks in the range 10° ≤ 2θ ≤ 90°, in order of falling intensity:
- 2θ 34.7, I 100, (1 1 -2)
- 2θ 33.2, I 88, (3 1 -1)
- 2θ 39.0, I 45, (3 1 0)
- 2θ 34.3, I 40, (2 0 1)
- 2θ 43.8, I 36, (0 2 0)
- 2θ 24.0, I 34, (1 1 0)
- 2θ 24.9, I 27, (2 0 -2)
- 2θ 39.6, I 27, (4 0 -3)
- 2θ 33.4, I 26, (4 0 -2)
- 2θ 62.6, I 22, (1 1 3)

Atomic structure:
Unit cell a=10.8450 b=4.1350 c=7.1501 alpha=90.00 beta=129.73 gamma=90.00
Space group C2/m (No. 12)
Symmetry-distinct sites (fractional):
Nd 0.0640 0.0000 0.3054
Si 0.1640 0.5000 0.7252
H 0.0000 0.5000 0.0000
Ru 0.2020 0.5000 0.1011